Record 1
This entry pairs a crystal structure of NpSbPdN with its computed XRD peak list. Radiation: Cu Kα. Structure: a structure optimized by DFT (GGA-PBE).

Cell and atoms:
abc: 3.274 3.274 13.974
angles: 90.00 90.00 90.00
Atoms (fractional coordinates):
Np1 0.000 0.000 0.000
Np2 0.500 0.500 0.500
Sb1 0.000 0.000 0.285
Sb2 0.500 0.500 0.785
Pd1 0.000 0.000 0.676
Pd2 0.500 0.500 0.176
N1 0.000 0.000 0.520
N2 0.500 0.500 0.020

Principal peaks in the range 2θ = 10–90°, sorted by position:
25.50 deg, I = 25
27.99 deg, I = 19
33.45 deg, I = 100
38.90 deg, I = 45
47.09 deg, I = 19
53.78 deg, I = 20
56.00 deg, I = 14
56.18 deg, I = 15
66.99 deg, I = 30
81.52 deg, I = 12

---

Record 2
This entry pairs a crystal structure of NbClF8 with its computed XRD peak list. Radiation: Cu Kα. Structure: a structure optimized by DFT (GGA-PBE).

Cell and atoms:
abc: 10.195 6.065 10.844
angles: 90.00 90.00 90.00
Atoms (fractional coordinates):
Nb1 0.000 0.118 0.250
Nb2 0.000 0.882 0.750
Nb3 0.500 0.118 0.750
Nb4 0.500 0.882 0.250
Cl1 0.250 0.500 0.055
Cl2 0.250 0.500 0.555
Cl3 0.750 0.500 0.445
Cl4 0.750 0.500 0.945
F1 0.084 0.153 0.406
F2 0.084 0.847 0.906
F3 0.119 0.098 0.693
F4 0.119 0.902 0.193
F5 0.124 0.361 0.193
F6 0.124 0.639 0.693
F7 0.155 0.385 0.952
F8 0.155 0.615 0.452
F9 0.345 0.385 0.452
F10 0.345 0.615 0.952
F11 0.376 0.361 0.693
F12 0.376 0.639 0.193
F13 0.381 0.098 0.193
F14 0.381 0.902 0.693
F15 0.416 0.153 0.906
F16 0.416 0.847 0.406
F17 0.584 0.153 0.594
F18 0.584 0.847 0.094
F19 0.619 0.098 0.307
F20 0.619 0.902 0.807
F21 0.624 0.361 0.807
F22 0.624 0.639 0.307
F23 0.655 0.385 0.048
F24 0.655 0.615 0.548
F25 0.845 0.385 0.548
F26 0.845 0.615 0.048
F27 0.876 0.361 0.307
F28 0.876 0.639 0.807
F29 0.881 0.098 0.807
F30 0.881 0.902 0.307
F31 0.916 0.153 0.094
F32 0.916 0.847 0.594

Principal peaks in the range 2θ = 10–90°, sorted by position:
16.35 deg, I = 33
17.40 deg, I = 20
18.89 deg, I = 100
21.99 deg, I = 79
22.79 deg, I = 86
23.96 deg, I = 75
35.42 deg, I = 24
40.74 deg, I = 34
47.40 deg, I = 28
52.65 deg, I = 23